Theoretical X-ray diffraction stick pattern
Compound: BaCuCO3F2
Radiation: λ = 1.5418 Å (Cu Kα)
Structure: a cell relaxed with GGA-PBE
Peak positions follow from Bragg's law for the DFT cell and can differ from measured ones.

The 10 most intense peaks (2θ = 10–90°), in order of rising 2θ:
2θ = 20.61°, I = 19; 2θ = 22.55°, I = 13; 2θ = 27.59°, I = 100; 2θ = 36.10°, I = 54; 2θ = 36.77°, I = 24; 2θ = 40.69°, I = 14; 2θ = 46.03°, I = 26; 2θ = 52.48°, I = 27; 2θ = 59.85°, I = 18; 2θ = 60.77°, I = 13

Crystal structure
Unit cell a=4.9789 b=8.6141 c=9.7775 alpha=90.00 beta=90.00 gamma=90.00
Sites, in units of the cell vectors:
Ba1 0.2265 0.2500 0.0000
Ba2 0.2265 0.2500 0.5000
Ba3 0.7735 0.7500 0.0000
Ba4 0.7735 0.7500 0.5000
Cu1 0.2555 0.5869 0.2500
Cu2 0.2555 0.9131 0.7500
Cu3 0.7445 0.0869 0.2500
Cu4 0.7445 0.4131 0.7500
C1 0.2924 0.5835 0.7500
C2 0.2924 0.9165 0.2500
C3 0.7076 0.0835 0.7500
C4 0.7076 0.4165 0.2500
O1 0.1204 0.6968 0.7500
O2 0.1204 0.8032 0.2500
O3 0.2122 0.0573 0.2500
O4 0.2122 0.4427 0.7500
O5 0.4503 0.1156 0.7500
O6 0.4503 0.3844 0.2500
O7 0.5497 0.6156 0.7500
O8 0.5497 0.8844 0.2500
O9 0.7878 0.5573 0.2500
O10 0.7878 0.9427 0.7500
O11 0.8796 0.1968 0.7500
O12 0.8796 0.3032 0.2500
F1 0.2589 0.5853 0.0504
F2 0.2589 0.5853 0.4496
F3 0.2589 0.9147 0.5504
F4 0.2589 0.9147 0.9496
F5 0.7411 0.0853 0.0504
F6 0.7411 0.0853 0.4496
F7 0.7411 0.4147 0.5504
F8 0.7411 0.4147 0.9496

---

Theoretical X-ray diffraction stick pattern
Compound: Ba2CuC6O16
Radiation: λ = 1.5418 Å (Cu Kα)
Structure: a cell relaxed with GGA-PBE
Peak positions follow from Bragg's law for the DFT cell and can differ from measured ones.

The 10 most intense peaks (2θ = 10–90°), in order of rising 2θ:
2θ = 12.10°, I = 100; 2θ = 12.74°, I = 20; 2θ = 15.57°, I = 41; 2θ = 16.98°, I = 32; 2θ = 18.63°, I = 15; 2θ = 24.34°, I = 27; 2θ = 24.55°, I = 16; 2θ = 29.11°, I = 16; 2θ = 30.69°, I = 19; 2θ = 31.29°, I = 22

Crystal structure
Unit cell a=6.7757 b=7.7993 c=9.8348 alpha=70.13 beta=82.35 gamma=83.34
Sites, in units of the cell vectors:
Ba1 0.2372 0.4988 0.1523
Ba2 0.7628 0.5012 0.8477
Cu1 0.0000 0.5000 0.5000
C1 0.1986 0.6380 0.8056
C2 0.2964 0.1132 0.6103
C3 0.3794 0.0908 0.1098
C4 0.6206 0.9092 0.8902
C5 0.7036 0.8868 0.3897
C6 0.8014 0.3620 0.1944
O1 0.0612 0.6794 0.8982
O2 0.1438 0.6278 0.3545
O3 0.1531 0.6414 0.6829
O4 0.2876 0.0007 0.2136
O5 0.2963 0.0469 0.7370
O6 0.2973 0.1793 0.4837
O7 0.3778 0.5864 0.8438
O8 0.4677 0.1873 0.0053
O9 0.5323 0.8127 0.9947
O10 0.6222 0.4136 0.1562
O11 0.7027 0.8207 0.5163
O12 0.7037 0.9531 0.2630
O13 0.7124 0.9993 0.7864
O14 0.8469 0.3586 0.3171
O15 0.8562 0.3722 0.6455
O16 0.9388 0.3206 0.1018

---

Theoretical X-ray diffraction stick pattern
Compound: Ba2CuC6O16
Radiation: λ = 1.5418 Å (Cu Kα)
Structure: a cell relaxed with GGA-PBE
Peak positions follow from Bragg's law for the DFT cell and can differ from measured ones.

The 10 most intense peaks (2θ = 10–90°), in order of rising 2θ:
2θ = 10.75°, I = 100; 2θ = 15.90°, I = 27; 2θ = 16.74°, I = 26; 2θ = 17.57°, I = 21; 2θ = 21.57°, I = 23; 2θ = 23.29°, I = 14; 2θ = 25.73°, I = 19; 2θ = 27.04°, I = 14; 2θ = 27.44°, I = 16; 2θ = 32.01°, I = 13

Crystal structure
Unit cell a=6.4380 b=9.1553 c=10.4359 alpha=64.15 beta=82.76 gamma=86.83
Sites, in units of the cell vectors:
Ba1 0.2332 0.0110 0.1587
Ba2 0.7668 0.9890 0.8413
Cu1 0.0000 0.0000 0.5000
C1 0.2001 0.1386 0.8188
C2 0.2890 0.6165 0.6039
C3 0.3684 0.5909 0.1080
C4 0.6316 0.4091 0.8920
C5 0.7110 0.3835 0.3961
C6 0.7999 0.8614 0.1812
O1 0.0598 0.1698 0.9044
O2 0.1360 0.1225 0.3427
O3 0.1477 0.1400 0.7039
O4 0.2727 0.5020 0.2144
O5 0.2755 0.5561 0.7296
O6 0.3035 0.6766 0.4778
O7 0.3875 0.0985 0.8555
O8 0.4642 0.6807 0.0002
O9 0.5358 0.3193 0.9998
O10 0.6125 0.9015 0.1445
O11 0.6965 0.3234 0.5222
O12 0.7245 0.4439 0.2704
O13 0.7273 0.4980 0.7856
O14 0.8523 0.8600 0.2961
O15 0.8640 0.8775 0.6573
O16 0.9402 0.8302 0.0956

---

Theoretical X-ray diffraction stick pattern
Compound: BaSrCuCO4
Radiation: λ = 1.5418 Å (Cu Kα)
Structure: a cell relaxed with GGA-PBE
Peak positions follow from Bragg's law for the DFT cell and can differ from measured ones.

The 10 most intense peaks (2θ = 10–90°), in order of rising 2θ:
2θ = 25.20°, I = 73; 2θ = 26.87°, I = 68; 2θ = 27.12°, I = 46; 2θ = 28.61°, I = 73; 2θ = 29.06°, I = 100; 2θ = 29.77°, I = 62; 2θ = 32.21°, I = 62; 2θ = 34.91°, I = 67; 2θ = 37.94°, I = 76; 2θ = 44.60°, I = 40

Crystal structure
Unit cell a=6.3109 b=6.3849 c=6.8316 alpha=76.28 beta=86.85 gamma=81.54
Sites, in units of the cell vectors:
Ba1 0.0000 0.0000 0.0000
Ba2 0.0652 0.2821 0.4421
Sr1 0.4556 0.5547 0.0004
Sr2 0.5464 0.7455 0.4959
Cu1 0.1092 0.7161 0.5554
Cu2 0.5261 0.1134 0.7721
C1 0.4061 0.1070 0.2083
C2 0.4977 0.0654 0.0506
O1 0.1816 0.6675 0.2839
O2 0.2621 0.8658 0.7243
O3 0.2954 0.4559 0.6848
O4 0.4436 0.3491 0.5480
O5 0.7730 0.9308 0.6892
O6 0.7877 0.4309 0.8006
O7 0.8578 0.4638 0.9948
O8 0.8659 0.9231 0.4818

---

Theoretical X-ray diffraction stick pattern
Compound: Ba3La2C5O15F2
Radiation: λ = 1.5418 Å (Cu Kα)
Structure: a cell relaxed with GGA-PBE
Peak positions follow from Bragg's law for the DFT cell and can differ from measured ones.

The 10 most intense peaks (2θ = 10–90°), in order of rising 2θ:
2θ = 21.90°, I = 100; 2θ = 26.96°, I = 83; 2θ = 27.11°, I = 55; 2θ = 34.75°, I = 21; 2θ = 34.96°, I = 36; 2θ = 41.48°, I = 31; 2θ = 41.75°, I = 13; 2θ = 41.95°, I = 40; 2θ = 44.63°, I = 35; 2θ = 44.83°, I = 40

Crystal structure
Unit cell a=11.1574 b=11.1574 c=13.4568 alpha=94.66 beta=94.66 gamma=26.76
Sites, in units of the cell vectors:
Ba1 0.0000 0.0000 0.0000
Ba2 0.1863 0.1863 0.5954
Ba3 0.3076 0.3076 0.9000
Ba4 0.5000 0.5000 0.5000
Ba5 0.6924 0.6924 0.1000
Ba6 0.8137 0.8137 0.4046
La1 0.1000 0.1000 0.3149
La2 0.3944 0.3944 0.2118
La3 0.6056 0.6056 0.7882
La4 0.9000 0.9000 0.6851
C1 0.0415 0.0415 0.6999
C2 0.1503 0.1503 0.9601
C3 0.2536 0.2536 0.2248
C4 0.3391 0.3391 0.5971
C5 0.4518 0.4518 0.8538
C6 0.5482 0.5482 0.1462
C7 0.6609 0.6609 0.4029
C8 0.7464 0.7464 0.7752
C9 0.8497 0.8497 0.0399
C10 0.9585 0.9585 0.3001
O1 0.0681 0.5006 0.2248
O2 0.0917 0.5296 0.5832
O3 0.0963 0.6609 0.0589
O4 0.0994 0.0994 0.7335
O5 0.1939 0.1939 0.2202
O6 0.2042 0.6403 0.8411
O7 0.2052 0.7696 0.3139
O8 0.2056 0.2056 0.0034
O9 0.2304 0.7948 0.6861
O10 0.3391 0.9037 0.9411
O11 0.3597 0.7958 0.1589
O12 0.3972 0.3972 0.6313
O13 0.4704 0.9083 0.4168
O14 0.4903 0.4903 0.1140
O15 0.4994 0.9319 0.7752
O16 0.5006 0.0681 0.2248
O17 0.5097 0.5097 0.8860
O18 0.5296 0.0917 0.5832
O19 0.6028 0.6028 0.3687
O20 0.6403 0.2042 0.8411
O21 0.6609 0.0963 0.0589
O22 0.7696 0.2052 0.3139
O23 0.7944 0.7944 0.9966
O24 0.7948 0.2304 0.6861
O25 0.7958 0.3597 0.1589
O26 0.8061 0.8061 0.7798
O27 0.9006 0.9006 0.2665
O28 0.9037 0.3391 0.9411
O29 0.9083 0.4704 0.4168
O30 0.9319 0.4994 0.7752
F1 0.0736 0.0736 0.4834
F2 0.3747 0.3747 0.3854
F3 0.6253 0.6253 0.6146
F4 0.9264 0.9264 0.5166